For Ce2B2Ir5, DFT lattice parameters and positions (PBE) gives the simulated powder X-ray diffraction pattern in this record (Cu Kα (λ = 1.5418 Å)).

Cell and atoms:
```
Ce2B2Ir5
1.0
2.7549 1.5906 10.5720
-2.7549 1.5906 10.5720
0.0000 -3.1811 10.5720
Ce B Ir
4 4 10
direct
0.0510 0.0510 0.0510
0.1523 0.1523 0.1523
0.8477 0.8477 0.8477
0.9490 0.9490 0.9490
0.2834 0.2834 0.2834
0.3824 0.3824 0.3824
0.6176 0.6176 0.6176
0.7166 0.7166 0.7166
0.0000 0.5000 0.5000
0.1005 0.5936 0.5936
0.4064 0.4064 0.8995
0.4064 0.8995 0.4064
0.5000 0.0000 0.5000
0.5000 0.5000 0.0000
0.5000 0.5000 0.5000
0.5936 0.1005 0.5936
0.5936 0.5936 0.1005
0.8995 0.4064 0.4064
```

Largest 12 diffraction maxima, low angle first, 2θ from 5° to 70°:
2θ/deg, intensity
18.8, 16
33.9, 62
36.4, 45
36.8, 16
37.8, 100
38.1, 54
41.6, 66
47.7, 34
49.6, 18
60.6, 22
64.2, 18
68.1, 37